Calculated X-ray powder pattern
Compound: BiPd15
Radiation: Cu Kα
Structure: a PBE-relaxed structure

Top 6 peaks for 2θ from 5° to 70°, by angle:
2θ = 5.46°, intensity 100
2θ = 38.72°, intensity 29
2θ = 39.32°, intensity 41
2θ = 41.05°, intensity 20
2θ = 44.00°, intensity 20
2θ = 46.11°, intensity 15

Crystal structure
Lattice parameters (Å, degrees): 7.5816 2.8766 32.3952 90.00 90.01 90.00
Fractional positions:
Bi1 0.1249 0.2500 0.3310
Bi2 0.8751 0.7500 0.6690
Pd1 0.1227 0.2500 0.8047
Pd2 0.1245 0.2500 0.8916
Pd3 0.1254 0.2500 0.0647
Pd4 0.1251 0.2500 0.1517
Pd5 0.1249 0.2500 0.2394
Pd6 0.1254 0.2500 0.9781
Pd7 0.1258 0.2500 0.7157
Pd8 0.3725 0.7500 0.1954
Pd9 0.3744 0.7500 0.1085
Pd10 0.3753 0.7500 0.0216
Pd11 0.3752 0.7500 0.6749
Pd12 0.3750 0.7500 0.7616
Pd13 0.3752 0.7500 0.8477
Pd14 0.3755 0.7500 0.9345
Pd15 0.3755 0.7500 0.2843
Pd16 0.6245 0.2500 0.7157
Pd17 0.6245 0.2500 0.0655
Pd18 0.6248 0.2500 0.1523
Pd19 0.6250 0.2500 0.2384
Pd20 0.6248 0.2500 0.3251
Pd21 0.6247 0.2500 0.9784
Pd22 0.6256 0.2500 0.8915
Pd23 0.6275 0.2500 0.8046
Pd24 0.8742 0.7500 0.2843
Pd25 0.8746 0.7500 0.0219
Pd26 0.8751 0.7500 0.7606
Pd27 0.8749 0.7500 0.8483
Pd28 0.8746 0.7500 0.9353
Pd29 0.8755 0.7500 0.1084
Pd30 0.8773 0.7500 0.1953


Calculated X-ray powder pattern
Compound: ZrSiS4
Radiation: Cu Kα
Structure: a PBE-relaxed structure

Top 6 peaks for 2θ from 5° to 70°, by angle:
2θ = 11.46°, intensity 28
2θ = 14.53°, intensity 100
2θ = 30.51°, intensity 28
2θ = 35.57°, intensity 29
2θ = 39.67°, intensity 32
2θ = 48.01°, intensity 23

Crystal structure
Lattice parameters (Å, degrees): 7.9256 7.9256 9.9363 90.00 90.00 154.02
Fractional positions:
Zr1 0.1566 0.8434 0.5000
Zr2 0.8434 0.1566 0.0000
Si1 0.2766 0.7234 0.2897
Si2 0.7234 0.2766 0.7897
S1 0.1315 0.8685 0.7731
S2 0.2292 0.7708 0.0797
S3 0.4005 0.5995 0.8303
S4 0.4666 0.5334 0.0139
S5 0.5334 0.4666 0.5139
S6 0.5995 0.4005 0.3303
S7 0.7708 0.2292 0.5797
S8 0.8685 0.1315 0.2731


Calculated X-ray powder pattern
Compound: AlZnGaTe3Se
Radiation: Cu Kα
Structure: a PBE-relaxed structure

Top 6 peaks for 2θ from 5° to 70°, by angle:
2θ = 25.68°, intensity 58
2θ = 26.09°, intensity 100
2θ = 26.24°, intensity 52
2θ = 30.03°, intensity 23
2θ = 42.60°, intensity 23
2θ = 43.38°, intensity 41

Crystal structure
Lattice parameters (Å, degrees): 5.9471 5.9568 7.2006 114.35 113.20 91.01
Fractional positions:
Al1 0.0000 0.0000 0.0000
Zn1 0.4803 0.4807 0.0031
Ga1 0.2356 0.7560 0.5163
Te1 0.3905 0.8992 0.2734
Te2 0.6227 0.5987 0.7371
Te3 0.8572 0.3551 0.2738
Se1 0.1037 0.1170 0.7514